Simulated powder XRD pattern of Tb8Te3CS3 for Cu Ka, from a DFT-relaxed cell (GGA-PBE, Alexandria).

Atomic structure:
Cell lengths 8.014, 8.014, 8.431 Å; angles 118.40, 118.40, 59.93 degrees
Positions (direct):
Tb1 0.217 0.217 0.694
Tb2 0.217 0.761 0.694
Tb3 0.239 0.783 0.306
Tb4 0.266 0.266 0.299
Tb5 0.734 0.734 0.701
Tb6 0.761 0.217 0.694
Tb7 0.783 0.239 0.306
Tb8 0.783 0.783 0.306
Te1 0.000 0.000 0.000
Te2 0.000 0.500 0.000
Te3 0.500 0.000 0.000
C1 0.000 0.000 0.500
S1 0.000 0.500 0.500
S2 0.500 0.000 0.500
S3 0.500 0.500 0.500

Principal peaks in the range 2θ = 10–90°, sorted by position:
d 6.592, intensity 14; d 3.296, intensity 28; d 2.900, intensity 100; d 2.682, intensity 27; d 2.349, intensity 15; d 2.102, intensity 24; d 2.003, intensity 37; d 1.648, intensity 17; d 1.524, intensity 18; d 1.273, intensity 14

Simulated powder XRD pattern of LiPaOsPd for Cu Ka, from a DFT-relaxed cell (GGA-PBE, Alexandria).

Atomic structure:
Cell lengths 6.572, 6.572, 6.572 Å; angles 90.00, 90.00, 90.00 degrees
Positions (direct):
Li1 0.000 0.000 0.000
Li2 0.000 0.500 0.500
Li3 0.500 0.000 0.500
Li4 0.500 0.500 0.000
Pa1 0.000 0.000 0.500
Pa2 0.000 0.500 0.000
Pa3 0.500 0.000 0.000
Pa4 0.500 0.500 0.500
Os1 0.250 0.250 0.750
Os2 0.250 0.750 0.250
Os3 0.750 0.250 0.250
Os4 0.750 0.750 0.750
Pd1 0.250 0.250 0.250
Pd2 0.250 0.750 0.750
Pd3 0.750 0.250 0.750
Pd4 0.750 0.750 0.250

Principal peaks in the range 2θ = 10–90°, sorted by position:
d 3.794, intensity 47; d 3.286, intensity 2; d 2.323, intensity 100; d 1.981, intensity 25; d 1.643, intensity 17; d 1.508, intensity 11; d 1.341, intensity 36; d 1.265, intensity 8; d 1.162, intensity 11; d 1.111, intensity 9